Record 1
# Er5Zr3Ni16As12
Theoretical powder X-ray diffraction pattern, λ = 1.5418 Å (Cu Kα). Input: the GGA-PBE geometry in Alexandria.
Intensities are scaled so that the largest is 100.

Top 12 peaks for 10° ≤ 2θ ≤ 80°, sorted by position:
29.2°, I = 12.5, hkl 3 1 0
33.4°, I = 28.2, hkl 3 0 1
36.3°, I = 100.0, hkl 2 2 1
37.3°, I = 81.5, hkl 3 1 1
44.1°, I = 10.7, hkl 4 1 1
45.7°, I = 12.8, hkl 5 1 0
46.3°, I = 36.2, hkl 0 0 2
48.7°, I = 11.2, hkl 3 3 1
49.5°, I = 33.0, hkl 6 0 0
55.8°, I = 18.2, hkl 4 3 1
60.9°, I = 11.5, hkl 4 1 2
70.2°, I = 22.0, hkl 6 0 2

Structure:
```
data_Er5Zr3Ni16As12
_cell_length_a 12.7524
_cell_length_b 12.7524
_cell_length_c 3.9179
_cell_angle_alpha 90.00
_cell_angle_beta 90.00
_cell_angle_gamma 120.00
_symmetry_space_group_name_H-M 'P -6 2 m'
_symmetry_Int_Tables_number 189
_symmetry_space_group_name_Hall 'P -6 -2'
loop_
_atom_site_label
_atom_site_type_symbol
_atom_site_fract_x
_atom_site_fract_y
_atom_site_fract_z
Er1 Er 0.0000 0.8161 0.0000
Er2 Er 0.3333 0.6667 0.5000
Zr1 Zr 0.0000 0.4366 0.5000
Ni1 Ni 0.0000 0.0000 0.5000
Ni2 Ni 0.0000 0.2756 0.0000
Ni3 Ni 0.1214 0.6379 0.0000
Ni4 Ni 0.1839 0.3764 0.5000
As1 As 0.0000 0.1776 0.5000
As2 As 0.0000 0.6447 0.5000
As3 As 0.1730 0.4796 0.0000
```

---

Record 2
# Ca2YMg
Theoretical powder X-ray diffraction pattern, λ = 1.5418 Å (Cu Kα). Input: the GGA-PBE geometry in Alexandria.
Intensities are scaled so that the largest is 100.

Top 12 peaks for 10° ≤ 2θ ≤ 80°, sorted by position:
26.0°, I = 21.3, hkl 1 1 1
26.1°, I = 8.6, hkl 0 0 3
30.1°, I = 100.0, hkl 1 1 2
34.8°, I = 17.2, hkl 0 2 0
35.0°, I = 32.1, hkl 2 0 0
50.2°, I = 21.7, hkl 2 2 0
50.3°, I = 10.2, hkl 2 0 4
51.1°, I = 7.1, hkl 1 1 5
59.5°, I = 12.9, hkl 1 3 2
59.7°, I = 12.8, hkl 3 1 2
59.8°, I = 10.3, hkl 1 1 6
62.6°, I = 10.1, hkl 2 2 4

Structure:
```
data_Ca2YMg
_cell_length_a 5.1383
_cell_length_b 5.1565
_cell_length_c 10.2495
_cell_angle_alpha 90.00
_cell_angle_beta 90.00
_cell_angle_gamma 90.00
_symmetry_space_group_name_H-M 'C m m m'
_symmetry_Int_Tables_number 65
_symmetry_space_group_name_Hall '-C 2 2'
loop_
_atom_site_label
_atom_site_type_symbol
_atom_site_fract_x
_atom_site_fract_y
_atom_site_fract_z
Ca1 Ca 0.0000 0.0000 0.2298
Y1 Y 0.0000 0.5000 0.5000
Mg1 Mg 0.0000 0.5000 0.0000
```

---

Record 3
# Er3Tm2Th4
Theoretical powder X-ray diffraction pattern, λ = 1.5418 Å (Cu Kα). Input: the GGA-PBE geometry in Alexandria.
Intensities are scaled so that the largest is 100.

Top 12 peaks for 10° ≤ 2θ ≤ 80°, sorted by position:
30.9°, I = 100.0, hkl 3 1 1
35.8°, I = 33.9, hkl 0 2 0
35.9°, I = 16.9, hkl 0 0 3
51.6°, I = 18.3, hkl 6 0 2
51.7°, I = 18.2, hkl 0 2 3
61.3°, I = 14.6, hkl 3 3 1
61.4°, I = 21.8, hkl 3 1 4
61.6°, I = 7.2, hkl 3 1 -5
64.4°, I = 6.3, hkl 6 2 2
64.5°, I = 6.3, hkl 6 2 -4
75.9°, I = 3.9, hkl 0 4 0
76.2°, I = 2.0, hkl 0 0 6

Structure:
```
data_Er3Tm2Th4
_cell_length_a 15.0444
_cell_length_b 5.0093
_cell_length_c 7.8982
_cell_angle_alpha 90.00
_cell_angle_beta 108.33
_cell_angle_gamma 90.00
_symmetry_space_group_name_H-M 'C 1 2/m 1'
_symmetry_Int_Tables_number 12
loop_
_symmetry_equiv_pos_as_xyz
'x,y,z'
'-x,-y,-z'
'-x,y,-z'
'x,-y,z'
'x+1/2,y+1/2,z'
'-x+1/2,-y+1/2,-z'
'-x+1/2,y+1/2,-z'
'x+1/2,-y+1/2,z'
loop_
_atom_site_label
_atom_site_type_symbol
_atom_site_fract_x
_atom_site_fract_y
_atom_site_fract_z
Er1 Er 0.0000 0.0000 0.0000
Er2 Er 0.1107 0.0000 0.6655
Tm1 Tm 0.1672 0.5000 0.0018
Th1 Th 0.0580 0.5000 0.3339
Th2 Th 0.2211 0.0000 0.3347
```